Record 1
Structure and computed powder diffraction line list of Li7SnAu2 (DFT lattice parameters and positions (GGA-PBE); Cu Kα (λ = 1.5418 Å)).
Neutral-atom scattering factors, no anomalous dispersion.

```
Li7SnAu2
1.0
3.7894 -6.4786 0.0000
3.7894 6.4786 0.0000
0.0000 0.0000 4.4556
Li Sn Au
7 1 2
direct
0.0000 0.0000 0.0000
0.2020 0.4374 0.0000
0.2798 0.7202 0.5000
0.4374 0.2020 0.0000
0.5626 0.7980 0.0000
0.7202 0.2798 0.5000
0.7980 0.5626 0.0000
0.5000 0.5000 0.5000
0.1976 0.8024 0.0000
0.8024 0.1976 0.0000
```

Top 10 peaks for 2θ = 5–70°, sorted by position:
- 13.67°, I 22
- 19.93°, I 22
- 23.48°, I 49
- 23.71°, I 67
- 24.21°, I 100
- 34.00°, I 51
- 41.41°, I 17
- 42.06°, I 46
- 47.46°, I 22
- 54.77°, I 20

=====

Record 2
Structure and computed powder diffraction line list of TbSmGa2Pd5 (DFT lattice parameters and positions (GGA-PBE); Cu Kα (λ = 1.5418 Å)).
Neutral-atom scattering factors, no anomalous dispersion.

```
TbSmGa2Pd5
1.0
4.2368 0.0000 0.0000
0.0000 4.2368 0.0000
0.0000 0.0000 9.2708
Tb Sm Ga Pd
1 1 2 5
direct
0.0000 0.0000 0.0000
0.0000 0.0000 0.5000
0.5000 0.5000 0.1341
0.5000 0.5000 0.8659
0.0000 0.5000 0.2747
0.0000 0.5000 0.7253
0.5000 0.0000 0.2747
0.5000 0.0000 0.7253
0.5000 0.5000 0.5000
```

Top 10 peaks for 2θ = 5–70°, sorted by position:
- 28.54°, I 13
- 35.68°, I 100
- 35.97°, I 8
- 38.86°, I 12
- 42.00°, I 17
- 42.68°, I 46
- 44.56°, I 10
- 59.08°, I 14
- 61.95°, I 15
- 68.30°, I 12

=====

Record 3
Structure and computed powder diffraction line list of Cd8In2Ag3 (DFT lattice parameters and positions (GGA-PBE); Cu Kα (λ = 1.5418 Å)).
Neutral-atom scattering factors, no anomalous dispersion.

```
Cd8In2Ag3
1.0
9.1383 0.0000 0.0000
0.0000 4.1981 0.0000
-4.3466 0.0000 8.0421
Cd In Ag
8 2 3
direct
0.0947 0.0000 0.4054
0.1228 0.5000 0.8817
0.3699 0.0000 0.1304
0.3810 0.5000 0.6231
0.6190 0.5000 0.3769
0.6301 0.0000 0.8696
0.8772 0.5000 0.1183
0.9053 0.0000 0.5946
0.2388 0.5000 0.2618
0.7612 0.5000 0.7382
0.2690 0.0000 0.7695
0.5000 0.5000 0.0000
0.7310 0.0000 0.2305
```

Top 10 peaks for 2θ = 5–70°, sorted by position:
- 24.04°, I 15
- 28.88°, I 7
- 36.76°, I 100
- 38.47°, I 24
- 43.09°, I 18
- 46.26°, I 10
- 59.12°, I 13
- 61.68°, I 8
- 65.06°, I 7
- 68.46°, I 14

=====

Record 4
Structure and computed powder diffraction line list of CsHg3Au2 (DFT lattice parameters and positions (GGA-PBE); Cu Kα (λ = 1.5418 Å)).
Neutral-atom scattering factors, no anomalous dispersion.

```
CsHg3Au2
1.0
6.1709 -5.0153 0.0000
6.1709 5.0153 0.0000
0.0000 0.0000 5.6287
Cs Hg Au
2 6 4
direct
0.1558 0.8442 0.7500
0.8442 0.1558 0.2500
0.0436 0.5787 0.2500
0.4213 0.9564 0.2500
0.4310 0.5690 0.2500
0.5690 0.4310 0.7500
0.5787 0.0436 0.7500
0.9564 0.4213 0.7500
0.2777 0.2777 0.0000
0.2777 0.2777 0.5000
0.7223 0.7223 0.0000
0.7223 0.7223 0.5000
```

Top 10 peaks for 2θ = 5–70°, sorted by position:
- 11.37°, I 44
- 14.35°, I 56
- 27.87°, I 52
- 28.30°, I 67
- 28.94°, I 44
- 36.61°, I 57
- 38.19°, I 54
- 38.76°, I 56
- 39.51°, I 100
- 55.32°, I 25

=====

Record 5
Structure and computed powder diffraction line list of Ca2NdHfP4 (DFT lattice parameters and positions (GGA-PBE); Cu Kα (λ = 1.5418 Å)).
Neutral-atom scattering factors, no anomalous dispersion.

```
Ca2NdHfP4
1.0
6.9463 0.0000 0.0000
0.0000 3.9872 0.0000
-2.2822 0.0000 6.6928
Ca Nd Hf P
2 1 1 4
direct
0.0000 0.0000 0.0000
0.5000 0.5000 0.0000
0.0000 0.5000 0.5000
0.5000 0.0000 0.5000
0.2666 0.0000 0.7355
0.2765 0.5000 0.2746
0.7235 0.5000 0.7254
0.7334 0.0000 0.2645
```

Top 10 peaks for 2θ = 5–70°, sorted by position:
- 13.23°, I 56
- 26.14°, I 20
- 26.64°, I 15
- 27.13°, I 14
- 27.30°, I 27
- 31.38°, I 100
- 40.85°, I 13
- 44.67°, I 24
- 45.29°, I 23
- 56.32°, I 12

=====

Record 6
Structure and computed powder diffraction line list of Cs2RbAsCl6 (DFT lattice parameters and positions (GGA-PBE); Cu Kα (λ = 1.5418 Å)).
Neutral-atom scattering factors, no anomalous dispersion.

```
Cs2RbAsCl6
1.0
0.0000 5.6509 5.6509
5.6509 0.0000 5.6509
5.6509 5.6509 0.0000
Cs Rb As Cl
2 1 1 6
direct
0.2500 0.2500 0.2500
0.7500 0.7500 0.7500
0.0000 0.0000 0.0000
0.5000 0.5000 0.5000
0.2773 0.2773 0.7227
0.2773 0.7227 0.2773
0.2773 0.7227 0.7227
0.7227 0.2773 0.2773
0.7227 0.2773 0.7227
0.7227 0.7227 0.2773
```

Top 10 peaks for 2θ = 5–70°, sorted by position:
- 22.25°, I 100
- 27.34°, I 29
- 31.67°, I 62
- 39.04°, I 43
- 45.39°, I 41
- 51.11°, I 25
- 53.80°, I 9
- 56.40°, I 13
- 61.39°, I 27
- 66.14°, I 6

=====

Record 7
Structure and computed powder diffraction line list of BeF (DFT lattice parameters and positions (GGA-PBE); Cu Kα (λ = 1.5418 Å)).
Neutral-atom scattering factors, no anomalous dispersion.

```
BeF
1.0
8.9871 0.0000 0.0000
0.0000 2.5476 0.0000
-1.7843 0.0000 3.8888
Be F
4 4
direct
0.0000 0.0000 0.0000
0.1235 0.5000 0.7314
0.5000 0.5000 0.0000
0.6235 0.0000 0.7314
0.0866 0.0000 0.4366
0.3137 0.5000 0.9177
0.5866 0.5000 0.4366
0.8137 0.0000 0.9177
```

Top 10 peaks for 2θ = 5–70°, sorted by position:
- 21.76°, I 9
- 24.14°, I 100
- 36.96°, I 30
- 38.03°, I 14
- 41.27°, I 31
- 44.36°, I 14
- 46.43°, I 11
- 46.72°, I 12
- 48.96°, I 8
- 56.83°, I 13

=====

Record 8
Structure and computed powder diffraction line list of NdBeGa2Ir2 (DFT lattice parameters and positions (GGA-PBE); Cu Kα (λ = 1.5418 Å)).
Neutral-atom scattering factors, no anomalous dispersion.

```
NdBeGa2Ir2
1.0
4.2651 0.0000 0.0000
0.0000 4.2651 0.0000
0.0000 0.0000 5.6431
Nd Be Ga Ir
1 1 2 2
direct
0.0000 0.0000 0.0000
0.0000 0.0000 0.5000
0.5000 0.5000 0.2285
0.5000 0.5000 0.7715
0.0000 0.5000 0.5000
0.5000 0.0000 0.5000
```

Top 10 peaks for 2θ = 5–70°, sorted by position:
- 15.70°, I 26
- 31.71°, I 15
- 33.70°, I 100
- 38.25°, I 21
- 42.38°, I 42
- 43.94°, I 23
- 53.89°, I 14
- 57.77°, I 16
- 58.40°, I 12
- 61.49°, I 14

=====

Record 9
Structure and computed powder diffraction line list of Tl2OsF7 (DFT lattice parameters and positions (GGA-PBE); Cu Kα (λ = 1.5418 Å)).
Neutral-atom scattering factors, no anomalous dispersion.

```
Tl2OsF7
1.0
7.3566 -3.2357 0.0000
7.3566 3.2357 0.0000
-7.3366 0.0000 7.4628
Tl Os F
4 2 14
direct
0.0398 0.6647 0.7724
0.3353 0.9602 0.7276
0.6647 0.0398 0.2724
0.9602 0.3353 0.2276
0.2880 0.7120 0.2500
0.7120 0.2880 0.7500
0.0465 0.1221 0.9054
0.1221 0.0465 0.4054
0.2026 0.6244 0.3338
0.2223 0.4669 0.0147
0.3756 0.7974 0.1662
0.4031 0.5969 0.7500
0.4669 0.2223 0.5147
0.5331 0.7777 0.4853
0.5969 0.4031 0.2500
0.6244 0.2026 0.8338
0.7777 0.5331 0.9853
0.7974 0.3756 0.6662
0.8779 0.9535 0.5946
0.9535 0.8779 0.0946
```

Top 10 peaks for 2θ = 5–70°, sorted by position:
- 23.52°, I 100
- 23.85°, I 48
- 27.57°, I 21
- 29.08°, I 54
- 30.10°, I 23
- 36.76°, I 22
- 37.90°, I 27
- 38.66°, I 35
- 46.41°, I 21
- 48.13°, I 17

=====

Record 10
Structure and computed powder diffraction line list of LiTmZrTl (DFT lattice parameters and positions (GGA-PBE); Cu Kα (λ = 1.5418 Å)).
Neutral-atom scattering factors, no anomalous dispersion.

```
LiTmZrTl
1.0
7.1625 0.0000 0.0000
0.0000 7.1625 0.0000
0.0000 0.0000 7.1625
Li Tm Zr Tl
4 4 4 4
direct
0.0000 0.0000 0.0000
0.0000 0.5000 0.5000
0.5000 0.0000 0.5000
0.5000 0.5000 0.0000
0.2500 0.2500 0.2500
0.2500 0.7500 0.7500
0.7500 0.2500 0.7500
0.7500 0.7500 0.2500
0.2500 0.2500 0.7500
0.2500 0.7500 0.2500
0.7500 0.2500 0.2500
0.7500 0.7500 0.7500
0.0000 0.0000 0.5000
0.0000 0.5000 0.0000
0.5000 0.0000 0.0000
0.5000 0.5000 0.5000
```

Top 10 peaks for 2θ = 5–70°, sorted by position:
- 21.49°, I 46
- 24.86°, I 2
- 35.45°, I 100
- 41.83°, I 26
- 43.78°, I 1
- 51.00°, I 18
- 55.96°, I 11
- 57.55°, I 1
- 63.65°, I 37
- 68.01°, I 8

=====

Record 11
Structure and computed powder diffraction line list of Dy2Ho5Sc2 (DFT lattice parameters and positions (GGA-PBE); Cu Kα (λ = 1.5418 Å)).
Neutral-atom scattering factors, no anomalous dispersion.

```
Dy2Ho5Sc2
1.0
8.7432 -1.7134 0.0000
8.7432 1.7134 0.0000
-2.3251 0.0000 9.0518
Dy Ho Sc
2 5 2
direct
0.1467 0.1467 0.0293
0.8533 0.8533 0.9707
0.0000 0.0000 0.5000
0.1685 0.1685 0.3990
0.3418 0.3418 0.2864
0.6582 0.6582 0.7136
0.8315 0.8315 0.6010
0.4880 0.4880 0.8226
0.5120 0.5120 0.1774
```

Top 10 peaks for 2θ = 5–70°, sorted by position:
- 20.98°, I 18
- 28.81°, I 37
- 31.70°, I 51
- 31.85°, I 61
- 33.98°, I 100
- 36.87°, I 46
- 39.13°, I 17
- 54.29°, I 26
- 63.56°, I 31
- 64.85°, I 28